No. 1
The following is a theoretical X-ray powder pattern of Mg3Hg. It was derived from a cell relaxed with GGA-PBE, using Cu Kα X-rays.

Main lines, by angle (10° ≤ 2θ ≤ 90°):
2θ/deg	I/Imax	(hkl)
20.0	32	0 0 6
21.3	24	1 1 0
23.6	100	1 1 3
37.2	59	1 1 9
37.4	42	3 0 0
42.7	32	0 3 6

Structural model:
```
data_Mg3Hg
_chemical_formula_sum 'Mg54 Hg18'
_symmetry_space_group_name_H-M 'R 3 2'
_symmetry_Int_Tables_number 155
_symmetry_space_group_name_Hall 'R 3 2"'
_cell_length_a 8.3364
_cell_length_b 8.3364
_cell_length_c 26.6493
_cell_angle_alpha 90.00
_cell_angle_beta 90.00
_cell_angle_gamma 120.00
loop_
_atom_site_label
_atom_site_fract_x
_atom_site_fract_y
_atom_site_fract_z
Mg1 0.0000 0.0000 0.0566
Mg2 0.0000 0.0000 0.1800
Mg3 0.0000 0.0000 0.3662
Mg4 0.0045 0.7510 0.7244
Mg5 0.0279 0.3046 0.5561
Hg1 0.0000 0.3196 0.0000
Hg2 0.0000 0.6736 0.5000
```

No. 2
The following is a theoretical X-ray powder pattern of Mg3Hg5. It was derived from a cell relaxed with GGA-PBE, using Cu Kα X-rays.

Main lines, by angle (10° ≤ 2θ ≤ 90°):
2θ/deg	I/Imax	(hkl)
31.9	58	1 1 2
33.9	33	2 2 -2
36.0	41	2 0 1
36.5	66	1 5 1
37.0	33	0 6 1
37.4	100	1 3 -3

Structural model:
```
data_Mg3Hg5
_chemical_formula_sum 'Mg12 Hg20'
_symmetry_space_group_name_H-M 'C 1 m 1'
_symmetry_Int_Tables_number 8
_cell_length_a 6.194
_cell_length_b 15.360
_cell_length_c 8.231
_cell_angle_alpha 90.00
_cell_angle_beta 108.69
_cell_angle_gamma 90.00
loop_
_symmetry_equiv_pos_as_xyz
'x,y,z'
'x,-y,z'
'x+1/2,y+1/2,z'
'x+1/2,-y+1/2,z'
loop_
_atom_site_label
_atom_site_fract_x
_atom_site_fract_y
_atom_site_fract_z
Mg1 0.000 0.000 0.000
Mg2 0.034 0.235 0.808
Mg3 0.041 0.337 0.316
Mg4 0.074 0.000 0.629
Hg1 0.158 0.177 0.508
Hg2 0.190 0.400 0.689
Hg3 0.259 0.500 0.256
Hg4 0.316 0.000 0.370
Hg5 0.382 0.101 0.940
Hg6 0.413 0.321 0.113
```

No. 3
The following is a theoretical X-ray powder pattern of Mg4MnHg. It was derived from a cell relaxed with GGA-PBE, using Cu Kα X-rays.

Main lines, by angle (10° ≤ 2θ ≤ 90°):
2θ/deg	I/Imax	(hkl)
19.0	69	1 1 1
22.0	29	2 0 0
31.4	79	2 2 0
36.9	100	3 1 1
55.8	31	4 2 2
59.5	33	5 1 1

Structural model:
```
data_Mg4MnHg
_chemical_formula_sum 'Mg16 Mn4 Hg4'
_symmetry_space_group_name_H-M 'F -4 3 m'
_symmetry_Int_Tables_number 216
_symmetry_space_group_name_Hall 'F -4 2 3'
_cell_length_a 8.070
_cell_length_b 8.070
_cell_length_c 8.070
_cell_angle_alpha 90.00
_cell_angle_beta 90.00
_cell_angle_gamma 90.00
loop_
_atom_site_label
_atom_site_fract_x
_atom_site_fract_y
_atom_site_fract_z
Mg1 0.125 0.125 0.125
Mn1 0.250 0.250 0.750
Hg1 0.000 0.000 0.500
```

No. 4
The following is a theoretical X-ray powder pattern of NaMg7Hg12. It was derived from a cell relaxed with GGA-PBE, using Cu Kα X-rays.

Main lines, by angle (10° ≤ 2θ ≤ 90°):
2θ/deg	I/Imax	(hkl)
20.7	42	2 1 1
26.9	94	3 0 1
31.9	100	3 1 2
38.4	71	4 2 0
50.7	75	5 0 3
70.7	33	7 3 2

Structural model:
```
data_NaMg7Hg12
_chemical_formula_sum 'Na2 Mg14 Hg24'
_symmetry_space_group_name_H-M 'I m -3'
_symmetry_Int_Tables_number 204
_symmetry_space_group_name_Hall '-I 2 2 3'
_cell_length_a 10.494
_cell_length_b 10.494
_cell_length_c 10.494
_cell_angle_alpha 90.00
_cell_angle_beta 90.00
_cell_angle_gamma 90.00
loop_
_atom_site_label
_atom_site_fract_x
_atom_site_fract_y
_atom_site_fract_z
Na1 0.000 0.000 0.000
Mg1 0.000 0.000 0.500
Mg2 0.250 0.250 0.250
Hg1 0.000 0.280 0.159
```

No. 5
The following is a theoretical X-ray powder pattern of NaMg2Hg7. It was derived from a cell relaxed with GGA-PBE, using Cu Kα X-rays.

Main lines, by angle (10° ≤ 2θ ≤ 90°):
2θ/deg	I/Imax	(hkl)
20.8	47	1 3 0
21.8	46	0 2 1
30.1	41	0 4 1
32.3	51	2 4 0
36.9	100	0 0 2
38.2	52	3 1 1

Structural model:
```
data_NaMg2Hg7
_chemical_formula_sum 'Na2 Mg4 Hg14'
_symmetry_space_group_name_H-M 'C m m m'
_symmetry_Int_Tables_number 65
_symmetry_space_group_name_Hall '-C 2 2'
_cell_length_a 8.211
_cell_length_b 14.992
_cell_length_c 4.864
_cell_angle_alpha 90.00
_cell_angle_beta 90.00
_cell_angle_gamma 90.00
loop_
_atom_site_label
_atom_site_fract_x
_atom_site_fract_y
_atom_site_fract_z
Na1 0.000 0.000 0.000
Mg1 0.000 0.305 0.500
Hg1 0.000 0.212 0.000
Hg2 0.000 0.500 0.500
Hg3 0.186 0.115 0.500
```

No. 6
The following is a theoretical X-ray powder pattern of NaMg5Hg3. It was derived from a cell relaxed with GGA-PBE, using Cu Kα X-rays.

Main lines, by angle (10° ≤ 2θ ≤ 90°):
2θ/deg	I/Imax	(hkl)
20.6	27	1 1 0
25.2	100	1 1 1
35.8	35	1 1 2
36.2	56	3 0 0
44.6	23	2 2 1
46.9	35	3 0 2

Structural model:
```
data_NaMg5Hg3
_chemical_formula_sum 'Na2 Mg10 Hg6'
_symmetry_space_group_name_H-M 'P 63/m c m'
_symmetry_Int_Tables_number 193
_symmetry_space_group_name_Hall '-P 6c 2'
_cell_length_a 8.6061
_cell_length_b 8.6061
_cell_length_c 6.1852
_cell_angle_alpha 90.00
_cell_angle_beta 90.00
_cell_angle_gamma 120.00
loop_
_atom_site_label
_atom_site_fract_x
_atom_site_fract_y
_atom_site_fract_z
Na1 0.0000 0.0000 0.0000
Mg1 0.0000 0.3322 0.2500
Mg2 0.3333 0.6667 0.0000
Hg1 0.0000 0.3393 0.7500
```

No. 7
The following is a theoretical X-ray powder pattern of Na4MgHg3. It was derived from a cell relaxed with GGA-PBE, using Cu Kα X-rays.

Main lines, by angle (10° ≤ 2θ ≤ 90°):
2θ/deg	I/Imax	(hkl)
22.2	100	2 1 1
23.5	83	3 1 0
33.4	70	2 0 2
42.6	48	4 0 2
43.4	39	5 2 1
44.0	39	3 3 2

Structural model:
```
data_Na4MgHg3
_chemical_formula_sum 'Na16 Mg4 Hg12'
_symmetry_space_group_name_H-M 'I 4/m c m'
_symmetry_Int_Tables_number 140
_symmetry_space_group_name_Hall '-I 4 2c'
_cell_length_a 11.986
_cell_length_b 11.986
_cell_length_c 6.006
_cell_angle_alpha 90.00
_cell_angle_beta 90.00
_cell_angle_gamma 90.00
loop_
_atom_site_label
_atom_site_fract_x
_atom_site_fract_y
_atom_site_fract_z
Na1 0.086 0.222 0.000
Mg1 0.000 0.500 0.250
Hg1 0.000 0.000 0.250
Hg2 0.151 0.349 0.500
```

No. 8
The following is a theoretical X-ray powder pattern of Na2MgHg4. It was derived from a cell relaxed with GGA-PBE, using Cu Kα X-rays.

Main lines, by angle (10° ≤ 2θ ≤ 90°):
2θ/deg	I/Imax	(hkl)
14.8	44	0 4 0
19.1	52	0 2 1
23.1	62	0 4 1
29.0	67	1 3 0
34.8	82	0 8 1
37.4	100	1 5 1

Structural model:
```
data_Na2MgHg4
_chemical_formula_sum 'Na4 Mg2 Hg8'
_symmetry_space_group_name_H-M 'C m m m'
_symmetry_Int_Tables_number 65
_symmetry_space_group_name_Hall '-C 2 2'
_cell_length_a 3.338
_cell_length_b 23.979
_cell_length_c 5.029
_cell_angle_alpha 90.00
_cell_angle_beta 90.00
_cell_angle_gamma 90.00
loop_
_atom_site_label
_atom_site_fract_x
_atom_site_fract_y
_atom_site_fract_z
Na1 0.000 0.076 0.000
Mg1 0.000 0.500 0.500
Hg1 0.000 0.305 0.000
Hg2 0.000 0.378 0.500
```

No. 9
The following is a theoretical X-ray powder pattern of Na2MgHg8. It was derived from a cell relaxed with GGA-PBE, using Cu Kα X-rays.

Main lines, by angle (10° ≤ 2θ ≤ 90°):
2θ/deg	I/Imax	(hkl)
26.9	20	1 1 0
30.3	17	1 1 2
34.2	100	1 1 3
38.4	43	2 0 0
64.5	20	1 1 8
66.8	29	3 1 3

Structural model:
```
data_Na2MgHg8
_chemical_formula_sum 'Na2 Mg1 Hg8'
_symmetry_space_group_name_H-M 'P 4/m m m'
_symmetry_Int_Tables_number 123
_symmetry_space_group_name_Hall '-P 4 2'
_cell_length_a 4.687
_cell_length_b 4.687
_cell_length_c 12.857
_cell_angle_alpha 90.00
_cell_angle_beta 90.00
_cell_angle_gamma 90.00
loop_
_atom_site_label
_atom_site_fract_x
_atom_site_fract_y
_atom_site_fract_z
Na1 0.000 0.000 0.181
Mg1 0.000 0.000 0.500
Hg1 0.000 0.500 0.000
Hg2 0.000 0.500 0.363
Hg3 0.500 0.500 0.180
```

No. 10
The following is a theoretical X-ray powder pattern of NaMg3Hg4. It was derived from a cell relaxed with GGA-PBE, using Cu Kα X-rays.

Main lines, by angle (10° ≤ 2θ ≤ 90°):
2θ/deg	I/Imax	(hkl)
24.6	80	2 0 1
26.3	34	0 2 0
34.9	28	4 0 0
35.1	27	0 0 2
36.3	100	2 2 1
50.4	20	4 0 2

Structural model:
```
data_NaMg3Hg4
_chemical_formula_sum 'Na2 Mg6 Hg8'
_symmetry_space_group_name_H-M 'P m m a'
_symmetry_Int_Tables_number 51
_cell_length_a 10.273
_cell_length_b 6.767
_cell_length_c 5.111
_cell_angle_alpha 90.00
_cell_angle_beta 90.00
_cell_angle_gamma 90.00
loop_
_symmetry_equiv_pos_as_xyz
'x,y,z'
'-x,-y,-z'
'-x+1/2,-y,z'
'x+1/2,y,-z'
'x+1/2,-y,-z'
'-x+1/2,y,z'
'-x,y,-z'
'x,-y,z'
loop_
_atom_site_label
_atom_site_fract_x
_atom_site_fract_y
_atom_site_fract_z
Na1 0.000 0.000 0.000
Mg1 0.000 0.500 0.000
Mg2 0.250 0.000 0.493
Mg3 0.250 0.500 0.492
Hg1 0.000 0.256 0.500
Hg2 0.250 0.257 0.992
```

No. 11
The following is a theoretical X-ray powder pattern of NaMg3Hg. It was derived from a cell relaxed with GGA-PBE, using Cu Kα X-rays.

Main lines, by angle (10° ≤ 2θ ≤ 90°):
2θ/deg	I/Imax	(hkl)
15.4	45	1 1 0
20.1	50	0 2 1
22.2	100	1 1 1
23.3	53	1 3 0
35.1	66	2 2 1
39.9	45	1 3 2

Structural model:
```
data_NaMg3Hg
_chemical_formula_sum 'Na4 Mg12 Hg4'
_symmetry_space_group_name_H-M 'C m c m'
_symmetry_Int_Tables_number 63
_symmetry_space_group_name_Hall '-C 2c 2'
_cell_length_a 6.259
_cell_length_b 14.447
_cell_length_c 5.605
_cell_angle_alpha 90.00
_cell_angle_beta 90.00
_cell_angle_gamma 90.00
loop_
_atom_site_label
_atom_site_fract_x
_atom_site_fract_y
_atom_site_fract_z
Na1 0.000 0.079 0.250
Mg1 0.000 0.500 0.000
Mg2 0.243 0.330 0.250
Hg1 0.000 0.329 0.750
```

No. 12
The following is a theoretical X-ray powder pattern of NaMg6Hg4. It was derived from a cell relaxed with GGA-PBE, using Cu Kα X-rays.

Main lines, by angle (10° ≤ 2θ ≤ 90°):
2θ/deg	I/Imax	(hkl)
22.9	100	2 0 0
26.7	36	1 0 1
31.3	33	1 1 1
33.4	29	2 0 1
39.2	43	2 1 1
40.3	38	2 2 0

Structural model:
```
data_NaMg6Hg4
_chemical_formula_sum 'Na1 Mg6 Hg4'
_symmetry_space_group_name_H-M 'P -6 m 2'
_symmetry_Int_Tables_number 187
_symmetry_space_group_name_Hall 'P -6 2'
_cell_length_a 8.9555
_cell_length_b 8.9555
_cell_length_c 3.7069
_cell_angle_alpha 90.00
_cell_angle_beta 90.00
_cell_angle_gamma 120.00
loop_
_atom_site_label
_atom_site_fract_x
_atom_site_fract_y
_atom_site_fract_z
Na1 0.0000 0.0000 0.0000
Mg1 0.1931 0.3861 0.5000
Mg2 0.5291 0.0583 0.0000
Hg1 0.3333 0.6667 0.0000
Hg2 0.3550 0.1775 0.5000
```